Theoretical powder diffraction line list of V2Cu3H6O11 for Cu Kα (λ = 1.5418 Å), from a crystal structure in Alexandria, relaxed with GGA+U.
Kinematic intensities with the Lorentz-polarization factor, no thermal factor.

Largest 10 diffraction maxima, by angle, 10° ≤ 2θ ≤ 80°:
h k l	d_spacing	I (rel.)
0 0 1	7.155	1000
2 0 -2	3.210	153
1 1 -2	3.043	188
1 1 2	2.858	137
4 0 0	2.732	208
4 0 -1	2.685	136
2 2 0	2.596	205
2 2 1	2.390	214
6 2 0	1.551	130
2 2 -4	1.522	95

Atomic structure:
abc: 11.051 5.900 7.228
angles: 90.00 98.15 90.00
Space group C2/m (No. 12)
Inequivalent atoms, fractional coordinates:
V: 0.003 0.000 0.249 [4 per cell]
Cu: 0.000 0.500 0.500 [2 per cell]
Cu: 0.250 0.250 0.500 [4 per cell]
H: 0.139 0.371 0.942 [8 per cell]
H: 0.145 0.500 0.243 [4 per cell]
O: 0.000 0.000 0.000 [2 per cell]
O: 0.071 0.237 0.692 [8 per cell]
O: 0.151 0.500 0.386 [4 per cell]
O: 0.159 0.000 0.359 [4 per cell]
O: 0.163 0.500 0.025 [4 per cell]